(1)
This entry pairs a crystal structure of K6Na15Tl18H with its theoretical X-ray powder pattern. Radiation: Cu Kα. Structure: a cell relaxed with PBE.
Kinematic intensities with the Lorentz-polarization factor, no thermal factor.

Principal peaks in the range 2θ from 10° to 90°, most intense first:
| 2θ (°) | I (rel.) | hkl |
| --- | --- | --- |
| 34.22 | 100 | 3 2 2 |
| 11.58 | 85 | 1 1 0 |
| 29.82 | 46 | 3 2 0 |
| 30.97 | 37 | 3 2 1 |
| 33.17 | 37 | 4 0 0 |
| 18.36 | 32 | 2 1 0 |
| 37.22 | 30 | 4 2 0 |
| 54.38 | 29 | 4 4 3 |
| 20.13 | 28 | 2 1 1 |
| 23.29 | 28 | 2 2 0 |

Crystal structure
a = 10.8026 Å, b = 10.8026 Å, c = 10.8026 Å
α = 90.00°, β = 90.00°, γ = 90.00°
Space group Pm-3 (No. 200)
Unique sites:
K (0.0000, 0.1878, 0.5000)
Na (0.0000, 0.0000, 0.0000)
Na (0.0000, 0.5000, 0.3277)
Na (0.2803, 0.2803, 0.2803)
Tl (0.0000, 0.2549, 0.1564)
Tl (0.2721, 0.5000, 0.5000)
H (0.5000, 0.5000, 0.5000)


(2)
This entry pairs a crystal structure of Dy2Y2Mg3 with its theoretical X-ray powder pattern. Radiation: Cu Kα. Structure: a cell relaxed with PBE.
Kinematic intensities with the Lorentz-polarization factor, no thermal factor.

Principal peaks in the range 2θ from 10° to 90°, most intense first:
| 2θ (°) | I (rel.) | hkl |
| --- | --- | --- |
| 32.81 | 100 | 1 0 7 |
| 33.73 | 49 | 1 1 0 |
| 59.76 | 35 | 2 1 7 |
| 25.60 | 26 | 0 0 8 |
| 23.90 | 26 | 1 0 1 |
| 28.67 | 18 | 1 0 5 |
| 48.45 | 17 | 2 0 0 |
| 57.98 | 16 | 1 1 14 |
| 68.80 | 12 | 2 0 14 |
| 42.85 | 11 | 1 1 8 |

Crystal structure
a = 3.7574 Å, b = 3.7574 Å, c = 27.8008 Å
α = 90.00°, β = 90.00°, γ = 90.00°
Space group I4/mmm (No. 139)
Unique sites:
Dy (0.0000, 0.0000, 0.2080)
Y (0.0000, 0.0000, 0.0683)
Mg (0.0000, 0.0000, 0.3618)
Mg (0.0000, 0.0000, 0.5000)


(3)
This entry pairs a crystal structure of NdDy6Ho6 with its theoretical X-ray powder pattern. Radiation: Cu Kα. Structure: a cell relaxed with PBE.
Kinematic intensities with the Lorentz-polarization factor, no thermal factor.

Principal peaks in the range 2θ from 10° to 90°, most intense first:
| 2θ (°) | I (rel.) | hkl |
| --- | --- | --- |
| 34.40 | 100 | 2 2 0 |
| 29.12 | 77 | 1 3 -1 |
| 30.26 | 63 | 1 2 1 |
| 32.24 | 39 | 2 0 -2 |
| 31.80 | 31 | 2 2 -1 |
| 35.42 | 29 | 1 3 1 |
| 30.15 | 29 | 0 0 2 |
| 32.46 | 27 | 0 4 0 |
| 52.34 | 23 | 2 0 2 |
| 39.06 | 22 | 0 3 2 |

Crystal structure
a = 6.5526 Å, b = 11.0321 Å, c = 6.5738 Å
α = 90.00°, β = 115.61°, γ = 90.00°
Space group P2/m (No. 10)
Unique sites:
Nd (0.0000, 0.0000, 0.0000)
Dy (0.0000, 0.3374, 0.0000)
Dy (0.2689, 0.5000, 0.7393)
Dy (0.3338, 0.0000, 0.6196)
Ho (0.0000, 0.2326, 0.5000)
Ho (0.5000, 0.2195, 0.0000)
Ho (0.5000, 0.3018, 0.5000)


(4)
This entry pairs a crystal structure of Ba3Ga2N4 with its theoretical X-ray powder pattern. Radiation: Cu Kα. Structure: a cell relaxed with PBE.
Kinematic intensities with the Lorentz-polarization factor, no thermal factor.

Principal peaks in the range 2θ from 10° to 90°, most intense first:
| 2θ (°) | I (rel.) | hkl |
| --- | --- | --- |
| 29.89 | 100 | 1 0 3 |
| 26.60 | 82 | 0 3 1 |
| 33.93 | 59 | 1 3 2 |
| 31.07 | 50 | 1 1 3 |
| 34.29 | 41 | 2 2 1 |
| 29.64 | 40 | 2 1 0 |
| 62.74 | 29 | 3 4 3 |
| 30.94 | 27 | 2 1 1 |
| 28.09 | 23 | 1 2 2 |
| 46.17 | 23 | 1 3 4 |

Crystal structure
a = 6.2853 Å, b = 10.6432 Å, c = 10.1959 Å
α = 90.00°, β = 90.00°, γ = 90.00°
Space group Pnna (No. 52)
Unique sites:
Ba (0.1081, 0.1545, 0.0882)
Ba (0.2500, 0.0000, 0.4070)
Ga (0.1641, 0.2500, 0.7500)
Ga (0.2500, 0.0000, 0.7306)
N (0.0212, 0.0970, 0.8287)
N (0.1376, 0.6461, 0.8702)


(5)
This entry pairs a crystal structure of NiW2Br with its theoretical X-ray powder pattern. Radiation: Cu Kα. Structure: a cell relaxed with PBE.
Kinematic intensities with the Lorentz-polarization factor, no thermal factor.

Principal peaks in the range 2θ from 10° to 90°, most intense first:
| 2θ (°) | I (rel.) | hkl |
| --- | --- | --- |
| 40.89 | 100 | 1 1 0 |
| 37.84 | 78 | 0 1 2 |
| 40.54 | 65 | 1 0 2 |
| 13.04 | 45 | 0 0 1 |
| 58.41 | 34 | 1 1 3 |
| 26.76 | 27 | 0 1 0 |
| 39.84 | 25 | 0 0 3 |
| 70.64 | 25 | 1 2 2 |
| 48.65 | 24 | 0 1 3 |
| 29.88 | 21 | 0 1 1 |

Crystal structure
a = 2.9469 Å, b = 3.3313 Å, c = 6.7879 Å
α = 90.00°, β = 90.00°, γ = 90.00°
Space group Pmmm (No. 47)
Unique sites:
Ni (0.0000, 0.0000, 0.0000)
W (0.5000, 0.5000, 0.1879)
Br (0.0000, 0.0000, 0.5000)


(6)
This entry pairs a crystal structure of PaCr4Se8 with its theoretical X-ray powder pattern. Radiation: Cu Kα. Structure: a cell relaxed with PBE.
Kinematic intensities with the Lorentz-polarization factor, no thermal factor.

Principal peaks in the range 2θ from 10° to 90°, most intense first:
| 2θ (°) | I (rel.) | hkl |
| --- | --- | --- |
| 33.63 | 100 | 0 2 4 |
| 48.81 | 35 | 2 2 0 |
| 47.77 | 33 | 2 0 8 |
| 14.49 | 32 | 1 0 1 |
| 16.63 | 25 | 0 1 2 |
| 60.58 | 17 | 4 0 4 |
| 81.39 | 15 | 2 4 4 |
| 27.81 | 14 | 1 1 3 |
| 79.81 | 12 | 2 2 12 |
| 23.36 | 11 | 1 0 4 |

Crystal structure
a = 7.4630 Å, b = 7.4630 Å, c = 18.8517 Å
α = 90.00°, β = 90.00°, γ = 120.00°
Space group R-3m (No. 166, hexagonal axes)
Unique sites:
Pa (0.0000, 0.0000, 0.0000)
Cr (0.0000, 0.0000, 0.5000)
Cr (0.0000, 0.5000, 0.5000)
Se (0.0000, 0.0000, 0.2388)
Se (0.0035, 0.5018, 0.2411)


(7)
This entry pairs a crystal structure of MgAl5Ir6 with its theoretical X-ray powder pattern. Radiation: Cu Kα. Structure: a cell relaxed with PBE.
Kinematic intensities with the Lorentz-polarization factor, no thermal factor.

Principal peaks in the range 2θ from 10° to 90°, most intense first:
| 2θ (°) | I (rel.) | hkl |
| --- | --- | --- |
| 42.22 | 100 | 2 0 0 |
| 29.51 | 73 | 1 0 3 |
| 77.14 | 23 | 3 2 3 |
| 52.35 | 20 | 2 2 0 |
| 69.36 | 18 | 3 0 3 |
| 77.29 | 11 | 2 4 0 |
| 61.16 | 11 | 2 0 6 |
| 69.54 | 9 | 1 4 3 |
| 61.38 | 6 | 0 4 0 |

Crystal structure
a = 4.2855 Å, b = 6.0415 Å, c = 12.8579 Å
α = 90.00°, β = 90.00°, γ = 90.00°
Space group Immm (No. 71)
Unique sites:
Mg (0.0000, 0.0000, 0.0000)
Al (0.0000, 0.0000, 0.3329)
Al (0.0000, 0.5000, 0.0000)
Al (0.0000, 0.5000, 0.3362)
Ir (0.0000, 0.2427, 0.5000)
Ir (0.0000, 0.2536, 0.1695)


(8)
This entry pairs a crystal structure of RbPH2O4 with its theoretical X-ray powder pattern. Radiation: Cu Kα. Structure: a cell relaxed with PBE.
Kinematic intensities with the Lorentz-polarization factor, no thermal factor.

Principal peaks in the range 2θ from 10° to 90°, most intense first:
| 2θ (°) | I (rel.) | hkl |
| --- | --- | --- |
| 23.65 | 100 | 1 1 0 |
| 37.96 | 52 | 0 2 2 |
| 30.10 | 48 | 1 1 -2 |
| 24.37 | 46 | 0 0 2 |
| 28.68 | 33 | 0 2 0 |
| 34.83 | 14 | 1 2 -1 |
| 39.28 | 12 | 2 0 -2 |
| 38.50 | 11 | 1 2 1 |
| 39.74 | 11 | 0 1 3 |
| 62.57 | 10 | 2 2 -4 |

Crystal structure
a = 4.9141 Å, b = 6.2257 Å, c = 7.6038 Å
α = 90.00°, β = 106.09°, γ = 90.00°
Space group P2_1/m (No. 11)
Unique sites:
Rb (0.2068, 0.2500, 0.2602)
P (0.2952, 0.2500, 0.7593)
H (0.1790, 0.7500, 0.3609)
H (0.5000, 0.0000, 0.0000)
O (0.0059, 0.2500, 0.6015)
O (0.2935, 0.0448, 0.8769)
O (0.4713, 0.7500, 0.3357)


(9)
This entry pairs a crystal structure of Y2IrRu3 with its theoretical X-ray powder pattern. Radiation: Cu Kα. Structure: a cell relaxed with PBE.
Kinematic intensities with the Lorentz-polarization factor, no thermal factor.

Principal peaks in the range 2θ from 10° to 90°, most intense first:
| 2θ (°) | I (rel.) | hkl |
| --- | --- | --- |
| 39.62 | 100 | 3 1 0 |
| 41.70 | 63 | 4 0 -2 |
| 38.91 | 55 | 2 0 1 |
| 20.50 | 40 | 1 1 0 |
| 33.92 | 31 | 0 2 0 |
| 71.39 | 23 | 0 4 0 |
| 40.34 | 22 | 0 0 2 |
| 64.53 | 20 | 3 3 0 |
| 39.96 | 17 | 2 2 -1 |
| 48.14 | 17 | 4 0 0 |

Crystal structure
a = 9.1544 Å, b = 5.2850 Å, c = 5.4066 Å
α = 90.00°, β = 124.21°, γ = 90.00°
Space group C2/m (No. 12)
Unique sites:
Y (0.1235, 0.0000, 0.3703)
Ir (0.0000, 0.5000, 0.5000)
Ru (0.0000, 0.5000, 0.0000)
Ru (0.2500, 0.2500, 0.0000)


(10)
This entry pairs a crystal structure of CsScCo2 with its theoretical X-ray powder pattern. Radiation: Cu Kα. Structure: a cell relaxed with PBE.
Kinematic intensities with the Lorentz-polarization factor, no thermal factor.

Principal peaks in the range 2θ from 10° to 90°, most intense first:
| 2θ (°) | I (rel.) | hkl |
| --- | --- | --- |
| 27.24 | 100 | 1 1 2 |
| 23.59 | 70 | 1 0 3 |
| 56.18 | 36 | 2 2 4 |
| 40.48 | 33 | 1 1 6 |
| 31.55 | 33 | 1 0 5 |
| 40.63 | 33 | 2 1 1 |
| 41.74 | 31 | 2 0 4 |
| 35.87 | 24 | 2 0 0 |
| 42.01 | 22 | 0 0 8 |
| 37.41 | 22 | 2 0 2 |

Crystal structure
a = 5.0075 Å, b = 5.0075 Å, c = 17.2061 Å
α = 90.00°, β = 90.00°, γ = 90.00°
Space group I4_1/amd (No. 141, origin choice 2)
Unique sites:
Cs (0.0000, 0.2500, 0.3750)
Sc (0.0000, 0.2500, 0.8750)
Co (0.0000, 0.0000, 0.0000)


(11)
This entry pairs a crystal structure of Rb2TbGaSe4 with its theoretical X-ray powder pattern. Radiation: Cu Kα. Structure: a cell relaxed with PBE.
Kinematic intensities with the Lorentz-polarization factor, no thermal factor.

Principal peaks in the range 2θ from 10° to 90°, most intense first:
| 2θ (°) | I (rel.) | hkl |
| --- | --- | --- |
| 28.53 | 100 | 0 4 0 |
| 29.50 | 41 | 4 0 -2 |
| 40.79 | 35 | 0 4 2 |
| 41.47 | 30 | 4 4 -2 |
| 12.50 | 19 | 1 1 -1 |
| 51.62 | 16 | 4 4 -4 |
| 42.10 | 15 | 4 0 -4 |
| 40.96 | 14 | 4 0 0 |
| 50.64 | 14 | 4 4 0 |
| 66.94 | 7 | 0 4 4 |

Crystal structure
a = 12.1163 Å, b = 12.5337 Å, c = 8.5891 Å
α = 90.00°, β = 133.32°, γ = 90.00°
Space group C2/c (No. 15)
Unique sites:
Rb (0.0000, 0.0000, 0.0000)
Rb (0.2500, 0.2500, 0.0000)
Tb (0.2500, 0.2500, 0.5000)
Ga (0.0000, 0.5000, 0.0000)
Se (0.0039, 0.2691, 0.0353)
Se (0.1990, 0.4863, 0.4688)


(12)
This entry pairs a crystal structure of Pm2Sm2Y6Tm with its theoretical X-ray powder pattern. Radiation: Cu Kα. Structure: a cell relaxed with PBE.
Kinematic intensities with the Lorentz-polarization factor, no thermal factor.

Principal peaks in the range 2θ from 10° to 90°, most intense first:
| 2θ (°) | I (rel.) | hkl |
| --- | --- | --- |
| 32.02 | 100 | 1 3 2 |
| 30.74 | 65 | 0 4 1 |
| 31.37 | 41 | 2 0 0 |
| 56.26 | 27 | 3 3 2 |
| 61.96 | 23 | 1 7 3 |
| 44.49 | 21 | 2 4 1 |
| 33.95 | 18 | 0 0 4 |
| 62.76 | 17 | 2 4 5 |
| 46.89 | 15 | 2 0 4 |
| 52.85 | 13 | 0 4 5 |

Crystal structure
a = 5.7031 Å, b = 12.1052 Å, c = 10.5626 Å
α = 90.00°, β = 90.00°, γ = 90.00°
Space group Cmmm (No. 65)
Unique sites:
Pm (0.0000, 0.1310, 0.0000)
Sm (0.0000, 0.2093, 0.5000)
Y (0.0000, 0.0000, 0.2988)
Y (0.0000, 0.3486, 0.2035)
Tm (0.0000, 0.5000, 0.5000)